No. 1
Diffraction record for Sr2ZnCoS2O2. The XRD peak list is calculated, not measured: it uses the GGA+U geometry in OQMD and CuKα.
Lines closer than 0.1° are merged.

Structural model:
Cell lengths 3.917, 3.917, 11.571 Å; angles 90.00, 90.00, 120.00 degrees
Positions (direct):
Sr (0.000, 0.000, 0.000)
Sr (0.333, 0.667, 0.494)
Zn (0.667, 0.333, 0.730)
Co (0.667, 0.333, 0.231)
S (0.000, 0.000, 0.300)
S (0.333, 0.667, 0.806)
O (0.667, 0.333, 0.069)
O (0.667, 0.333, 0.565)

Largest 6 diffraction maxima, low angle first, 2θ = 5–70°:
d = 3.255 Å, 2θ 27.4, I = 78.0, hkl 0 1 1; d = 2.926 Å, 2θ 30.6, I = 100.0, hkl 1 0 2; d = 2.547 Å, 2θ 35.2, I = 80.2, hkl 1 0 3; d = 1.958 Å, 2θ 46.4, I = 71.0, hkl 1 1 0; d = 1.677 Å, 2θ 54.7, I = 47.4, hkl 1 0 6; d = 1.622 Å, 2θ 56.8, I = 43.6, hkl 1 1 4


No. 2
Diffraction record for Tb2CoTe2S2O14. The XRD peak list is calculated, not measured: it uses the GGA+U geometry in OQMD and CuKα.
Lines closer than 0.1° are merged.

Structural model:
Cell lengths 5.235, 7.761, 8.005 Å; angles 63.49, 73.12, 85.40 degrees
Positions (direct):
Tb (0.070, 0.252, 0.016)
Tb (0.930, 0.748, 0.984)
Co (0.000, 0.000, 0.500)
Te (0.495, 0.732, 0.651)
Te (0.505, 0.268, 0.349)
S (0.250, 0.750, 0.256)
S (0.750, 0.250, 0.744)
O (0.123, 0.583, 0.261)
O (0.137, 0.767, 0.439)
O (0.189, 0.922, 0.088)
O (0.251, 0.561, 0.890)
O (0.261, 0.935, 0.663)
O (0.273, 0.192, 0.247)
O (0.459, 0.269, 0.774)
O (0.541, 0.731, 0.226)
O (0.727, 0.808, 0.753)
O (0.739, 0.065, 0.337)
O (0.749, 0.439, 0.110)
O (0.811, 0.078, 0.912)
O (0.863, 0.233, 0.561)
O (0.877, 0.417, 0.739)

Largest 6 diffraction maxima, low angle first, 2θ = 5–70°:
d = 6.540 Å, 2θ 13.5, I = 58.2, hkl 0 1 1; d = 3.585 Å, 2θ 24.8, I = 68.0, hkl 1 0 -1; d = 3.570 Å, 2θ 24.9, I = 74.1, hkl 1 1 2; d = 3.467 Å, 2θ 25.7, I = 100.0, hkl 0 2 0; d = 3.304 Å, 2θ 27.0, I = 49.5, hkl 1 0 2; d = 2.922 Å, 2θ 30.6, I = 73.2, hkl -1 2 1


No. 3
Diffraction record for Y2CoTe2S2O14. The XRD peak list is calculated, not measured: it uses the GGA+U geometry in OQMD and CuKα.
Lines closer than 0.1° are merged.

Structural model:
Cell lengths 5.214, 7.724, 7.993 Å; angles 63.65, 73.11, 85.46 degrees
Positions (direct):
Y (0.072, 0.252, 0.017)
Y (0.928, 0.748, 0.983)
Co (0.000, 0.000, 0.500)
Te (0.496, 0.732, 0.651)
Te (0.504, 0.268, 0.349)
S (0.245, 0.748, 0.255)
S (0.755, 0.252, 0.745)
O (0.115, 0.582, 0.260)
O (0.132, 0.766, 0.439)
O (0.186, 0.922, 0.087)
O (0.252, 0.562, 0.891)
O (0.263, 0.936, 0.662)
O (0.272, 0.192, 0.248)
O (0.463, 0.273, 0.775)
O (0.537, 0.727, 0.225)
O (0.728, 0.808, 0.752)
O (0.737, 0.064, 0.338)
O (0.748, 0.438, 0.109)
O (0.814, 0.078, 0.913)
O (0.868, 0.234, 0.561)
O (0.885, 0.418, 0.740)

Largest 6 diffraction maxima, low angle first, 2θ = 5–70°:
d = 6.514 Å, 2θ 13.6, I = 57.4, hkl 0 1 1; d = 3.817 Å, 2θ 23.3, I = 34.3, hkl 0 1 2; d = 3.566 Å, 2θ 25.0, I = 100.0, hkl 1 1 2; d = 3.455 Å, 2θ 25.8, I = 66.8, hkl 0 2 0; d = 2.911 Å, 2θ 30.7, I = 58.7, hkl -1 2 1; d = 2.513 Å, 2θ 35.7, I = 37.7, hkl 2 1 1


Repeat the third record exactly.
Diffraction record for Y2CoTe2S2O14. The XRD peak list is calculated, not measured: it uses the GGA+U geometry in OQMD and CuKα.
Lines closer than 0.1° are merged.

Structural model:
Cell lengths 5.214, 7.724, 7.993 Å; angles 63.65, 73.11, 85.46 degrees
Positions (direct):
Y (0.072, 0.252, 0.017)
Y (0.928, 0.748, 0.983)
Co (0.000, 0.000, 0.500)
Te (0.496, 0.732, 0.651)
Te (0.504, 0.268, 0.349)
S (0.245, 0.748, 0.255)
S (0.755, 0.252, 0.745)
O (0.115, 0.582, 0.260)
O (0.132, 0.766, 0.439)
O (0.186, 0.922, 0.087)
O (0.252, 0.562, 0.891)
O (0.263, 0.936, 0.662)
O (0.272, 0.192, 0.248)
O (0.463, 0.273, 0.775)
O (0.537, 0.727, 0.225)
O (0.728, 0.808, 0.752)
O (0.737, 0.064, 0.338)
O (0.748, 0.438, 0.109)
O (0.814, 0.078, 0.913)
O (0.868, 0.234, 0.561)
O (0.885, 0.418, 0.740)

Largest 6 diffraction maxima, low angle first, 2θ = 5–70°:
d = 6.514 Å, 2θ 13.6, I = 57.4, hkl 0 1 1; d = 3.817 Å, 2θ 23.3, I = 34.3, hkl 0 1 2; d = 3.566 Å, 2θ 25.0, I = 100.0, hkl 1 1 2; d = 3.455 Å, 2θ 25.8, I = 66.8, hkl 0 2 0; d = 2.911 Å, 2θ 30.7, I = 58.7, hkl -1 2 1; d = 2.513 Å, 2θ 35.7, I = 37.7, hkl 2 1 1